(1)
Computed powder X-ray diffraction pattern
Compound: V10Si3Ge3
Radiation: copper Kα
Structure: a crystal structure in Alexandria, relaxed with GGA-PBE

Structure:
```
V10Si3Ge3
1.0
0.000 6.680 6.706
2.407 0.000 6.706
2.407 6.680 0.000
V Si Ge
10 3 3
direct
0.098 0.902 0.098 V
0.246 0.441 0.559 V
0.402 0.752 0.248 V
0.423 0.927 0.577 V
0.441 0.246 0.754 V
0.596 0.942 0.058 V
0.752 0.402 0.598 V
0.902 0.098 0.902 V
0.927 0.423 0.073 V
0.942 0.596 0.404 V
0.007 0.338 0.662 Si
0.338 0.007 0.993 Si
0.839 0.839 0.161 Si
0.423 0.423 0.077 Ge
0.507 0.507 0.493 Ge
0.923 0.923 0.577 Ge
```

Peak list (6 most intense, 10 to 90 degrees two-theta, by angle)
| d (Å) | I (rel.) |
| --- | --- |
| 2.302 | 318 |
| 2.146 | 770 |
| 2.120 | 541 |
| 2.113 | 387 |
| 2.072 | 1000 |
| 1.954 | 648 |

(2)
Computed powder X-ray diffraction pattern
Compound: V10Si3Ge3
Radiation: copper Kα
Structure: a crystal structure in Alexandria, relaxed with GGA-PBE

Structure:
```
V10Si3Ge3
1.0
7.188 0.000 0.000
-3.594 6.225 0.000
0.000 0.000 4.882
V Si Ge
10 3 3
direct
0.000 0.244 0.000 V
0.000 0.759 0.500 V
0.241 0.241 0.500 V
0.244 0.000 0.000 V
0.333 0.667 0.255 V
0.333 0.667 0.745 V
0.667 0.333 0.255 V
0.667 0.333 0.745 V
0.756 0.756 0.000 V
0.759 0.000 0.500 V
0.000 0.393 0.500 Si
0.393 0.000 0.500 Si
0.607 0.607 0.500 Si
0.000 0.605 0.000 Ge
0.395 0.395 0.000 Ge
0.605 0.000 0.000 Ge
```

Peak list (6 most intense, 10 to 90 degrees two-theta, by angle)
| d (Å) | I (rel.) |
| --- | --- |
| 2.441 | 189 |
| 2.353 | 320 |
| 2.119 | 1000 |
| 2.075 | 425 |
| 2.019 | 713 |
| 1.338 | 205 |

(3)
Computed powder X-ray diffraction pattern
Compound: V12SiGe6
Radiation: copper Kα
Structure: a crystal structure in Alexandria, relaxed with GGA-PBE

Structure:
```
V12SiGe6
1.0
5.233 3.021 3.125
-5.233 3.021 3.125
0.000 -6.043 3.125
V Si Ge
12 1 6
direct
0.033 0.348 0.065 V
0.065 0.033 0.348 V
0.223 0.413 0.502 V
0.348 0.065 0.033 V
0.413 0.502 0.223 V
0.498 0.777 0.587 V
0.502 0.223 0.413 V
0.587 0.498 0.777 V
0.652 0.935 0.967 V
0.777 0.587 0.498 V
0.935 0.967 0.652 V
0.967 0.652 0.935 V
0.000 0.000 0.000 Si
0.111 0.686 0.339 Ge
0.314 0.661 0.889 Ge
0.339 0.111 0.686 Ge
0.661 0.889 0.314 Ge
0.686 0.339 0.111 Ge
0.889 0.314 0.661 Ge
```

Peak list (6 most intense, 10 to 90 degrees two-theta, by angle)
| d (Å) | I (rel.) |
| --- | --- |
| 3.218 | 403 |
| 2.683 | 359 |
| 2.428 | 392 |
| 2.269 | 376 |
| 2.215 | 1000 |
| 1.901 | 500 |

(4)
Computed powder X-ray diffraction pattern
Compound: V12Si3Ge
Radiation: copper Kα
Structure: a crystal structure in Alexandria, relaxed with GGA-PBE

Structure:
```
V12Si3Ge
1.0
4.718 0.000 0.000
0.000 4.723 0.000
0.000 0.000 9.404
V Si Ge
12 3 1
direct
0.000 0.000 0.126 V
0.000 0.000 0.372 V
0.000 0.000 0.628 V
0.000 0.000 0.874 V
0.244 0.500 0.500 V
0.252 0.500 0.000 V
0.500 0.254 0.246 V
0.500 0.254 0.754 V
0.500 0.746 0.246 V
0.500 0.746 0.754 V
0.748 0.500 0.000 V
0.756 0.500 0.500 V
0.000 0.500 0.250 Si
0.000 0.500 0.750 Si
0.500 0.000 0.000 Si
0.500 0.000 0.500 Ge
```

Peak list (6 most intense, 10 to 90 degrees two-theta, by angle)
| d (Å) | I (rel.) |
| --- | --- |
| 2.360 | 290 |
| 2.110 | 1000 |
| 2.104 | 500 |
| 1.926 | 608 |
| 1.922 | 295 |
| 1.261 | 212 |

(5)
Computed powder X-ray diffraction pattern
Compound: Si2GeW2
Radiation: copper Kα
Structure: a crystal structure in Alexandria, relaxed with GGA-PBE

Structure:
```
Si2GeW2
1.0
6.789 0.000 0.000
0.000 6.789 0.000
0.000 0.000 3.285
Si Ge W
4 2 4
direct
0.130 0.370 0.000 Si
0.370 0.870 0.000 Si
0.630 0.130 0.000 Si
0.870 0.630 0.000 Si
0.000 0.000 0.000 Ge
0.500 0.500 0.000 Ge
0.163 0.663 0.500 W
0.337 0.163 0.500 W
0.663 0.837 0.500 W
0.837 0.337 0.500 W
```

Peak list (6 most intense, 10 to 90 degrees two-theta, by angle)
| d (Å) | I (rel.) |
| --- | --- |
| 3.036 | 630 |
| 2.711 | 187 |
| 2.361 | 331 |
| 2.230 | 1000 |
| 2.147 | 385 |
| 1.439 | 203 |

(6)
Computed powder X-ray diffraction pattern
Compound: Si5GeW10
Radiation: copper Kα
Structure: a crystal structure in Alexandria, relaxed with GGA-PBE

Structure:
```
Si5GeW10
1.0
-4.857 4.857 2.502
4.857 -4.857 2.502
4.857 4.857 -2.502
Si Ge W
5 1 10
direct
0.000 0.000 0.000 Si
0.082 0.918 0.500 Si
0.418 0.582 0.500 Si
0.582 0.082 0.164 Si
0.918 0.418 0.836 Si
0.500 0.500 0.000 Ge
0.000 0.500 0.500 W
0.020 0.172 0.697 W
0.172 0.474 0.151 W
0.323 0.020 0.849 W
0.474 0.323 0.303 W
0.500 0.000 0.500 W
0.526 0.828 0.849 W
0.677 0.526 0.697 W
0.828 0.980 0.303 W
0.980 0.677 0.151 W
```

Peak list (6 most intense, 10 to 90 degrees two-theta, by angle)
| d (Å) | I (rel.) |
| --- | --- |
| 3.281 | 594 |
| 2.372 | 833 |
| 2.224 | 403 |
| 2.172 | 679 |
| 2.132 | 1000 |
| 2.022 | 735 |